Entry 1:
The following is a calculated powder diffractogram of Ba8As3Br4. It was derived from a structure optimized by DFT (PBE), using Cu Kα X-rays.
Lines closer than 0.1° are merged.

Peak list (12 most intense, 2θ = 10–90°, low angle first)
two_theta	d_spacing	Rel. int.
10.4	8.517	21
22.6	3.936	39
25.7	3.472	100
32.7	2.737	33
35.5	2.528	50
37.7	2.388	60
44.7	2.025	12
46.1	1.968	19
52.7	1.736	15
61.0	1.519	16
66.6	1.404	15
67.5	1.387	15

Structural model:
Unit cell a=9.5533 b=9.5533 c=25.5525 alpha=90.00 beta=90.00 gamma=120.00
Space group R-3m (No. 166, hexagonal axes)
Symmetry-distinct sites (fractional):
1 Ba 0.0000 0.0000 0.2339 x6
2 Ba 0.0150 0.5075 0.7621 x18
3 As 0.0000 0.5000 0.5000 x9
4 Br 0.0000 0.0000 0.0000 x3
5 Br 0.0000 0.0000 0.3595 x6
6 Br 0.0000 0.0000 0.5000 x3

Entry 2:
The following is a calculated powder diffractogram of BaAsBr6. It was derived from a structure optimized by DFT (PBE), using Cu Kα X-rays.
Lines closer than 0.1° are merged.

Peak list (12 most intense, 2θ = 10–90°, low angle first)
two_theta	d_spacing	Rel. int.
17.1	5.195	34
17.2	5.160	16
23.1	3.857	20
23.3	3.826	38
28.8	3.101	100
29.6	3.017	21
30.8	2.900	25
37.2	2.420	22
37.4	2.405	19
37.5	2.400	28
37.6	2.390	20
55.5	1.655	13

Structural model:
Unit cell a=6.9939 b=7.0321 c=7.7060 alpha=90.22 beta=116.74 gamma=119.49
Space group P-1 (No. 2)
Symmetry-distinct sites (fractional):
1 Ba 0.0000 0.0000 0.0000 x1
2 As 0.0000 0.5000 0.5000 x1
3 Br 0.1826 0.4882 0.2759 x2
4 Br 0.2109 0.3056 0.7231 x2
5 Br 0.4137 0.9005 0.7255 x2

Entry 3:
The following is a calculated powder diffractogram of Ba8CuAs3Br4. It was derived from a structure optimized by DFT (PBE), using Cu Kα X-rays.
Lines closer than 0.1° are merged.

Peak list (12 most intense, 2θ = 10–90°, low angle first)
two_theta	d_spacing	Rel. int.
22.8	3.908	9
26.2	3.405	100
37.0	2.431	35
37.7	2.386	39
46.5	1.954	21
53.8	1.703	12
60.3	1.534	14
61.3	1.512	18
67.6	1.386	12
68.1	1.378	8
80.5	1.193	6
86.4	1.126	7

Structural model:
Unit cell a=9.5435 b=9.5435 c=24.0440 alpha=90.00 beta=90.00 gamma=120.00
Space group R-3m (No. 166, hexagonal axes)
Symmetry-distinct sites (fractional):
1 Ba 0.0000 0.0000 0.2397 x6
2 Ba 0.0034 0.5017 0.7596 x18
3 Cu 0.0000 0.0000 0.5000 x3
4 As 0.0000 0.5000 0.5000 x9
5 Br 0.0000 0.0000 0.0000 x3
6 Br 0.0000 0.5000 0.0000 x9

Entry 4:
The following is a calculated powder diffractogram of Ba8AsP3Br4. It was derived from a structure optimized by DFT (PBE), using Cu Kα X-rays.
Lines closer than 0.1° are merged.

Peak list (12 most intense, 2θ = 10–90°, low angle first)
two_theta	d_spacing	Rel. int.
22.9	3.878	17
26.3	3.384	100
28.6	3.116	11
37.1	2.420	32
38.0	2.366	40
46.9	1.939	20
51.6	1.770	9
54.2	1.692	11
60.6	1.527	10
61.9	1.500	18
68.1	1.376	11
87.3	1.117	7

Structural model:
Unit cell a=9.4647 b=9.4647 c=23.9946 alpha=90.00 beta=90.00 gamma=120.00
Space group R-3m (No. 166, hexagonal axes)
Symmetry-distinct sites (fractional):
1 Ba 0.0000 0.0000 0.2371 x6
2 Ba 0.0042 0.5021 0.7621 x18
3 As 0.0000 0.0000 0.5000 x3
4 P 0.0000 0.5000 0.5000 x9
5 Br 0.0000 0.0000 0.0000 x3
6 Br 0.0000 0.5000 0.0000 x9

Entry 5:
The following is a calculated powder diffractogram of Ba8As3PtBr4. It was derived from a structure optimized by DFT (PBE), using Cu Kα X-rays.
Lines closer than 0.1° are merged.

Peak list (12 most intense, 2θ = 10–90°, low angle first)
two_theta	d_spacing	Rel. int.
11.0	8.013	7
26.2	3.397	100
34.0	2.638	6
37.0	2.427	35
37.8	2.378	39
46.6	1.948	21
54.0	1.699	12
60.4	1.532	13
61.5	1.507	18
67.8	1.382	12
68.3	1.373	7
86.8	1.122	7

Structural model:
Unit cell a=16.4778 b=9.5091 c=9.7128 alpha=90.00 beta=124.41 gamma=90.00
Space group C2/m (No. 12)
Symmetry-distinct sites (fractional):
1 Ba 0.0106 0.2476 0.2842 x8
2 Ba 0.2380 0.0000 0.7169 x4
3 Ba 0.2399 0.5000 0.7198 x4
4 As 0.0000 0.5000 0.5000 x2
5 As 0.2500 0.2500 0.5000 x4
6 Pt 0.0000 0.0000 0.5000 x2
7 Br 0.0000 0.0000 0.0000 x2
8 Br 0.0000 0.5000 0.0000 x2
9 Br 0.2500 0.2500 0.0000 x4

Entry 6:
The following is a calculated powder diffractogram of Ba8AsS3Br4. It was derived from a structure optimized by DFT (PBE), using Cu Kα X-rays.
Lines closer than 0.1° are merged.

Peak list (12 most intense, 2θ = 10–90°, low angle first)
two_theta	d_spacing	Rel. int.
23.5	3.791	17
27.0	3.305	100
29.4	3.042	8
38.1	2.361	35
38.9	2.314	38
48.0	1.895	20
55.6	1.652	11
62.3	1.490	13
63.4	1.466	17
70.0	1.345	11
70.5	1.336	7
89.8	1.092	7

Structural model:
Unit cell a=9.2542 b=9.2542 c=23.3737 alpha=90.00 beta=90.00 gamma=120.00
Space group R-3m (No. 166, hexagonal axes)
Symmetry-distinct sites (fractional):
1 Ba 0.0000 0.0000 0.2394 x6
2 Ba 0.0020 0.5010 0.7596 x18
3 As 0.0000 0.0000 0.5000 x3
4 S 0.0000 0.5000 0.5000 x9
5 Br 0.0000 0.0000 0.0000 x3
6 Br 0.0000 0.5000 0.0000 x9